Entry 1:
Diffraction record for Ta3Nb3Sn. The X-ray powder pattern is simulated, not measured: it uses a cell relaxed with GGA-PBE and copper Kα.
Intensities are scaled so that the largest is 100.

Peak list (6 most intense, 5° ≤ 2θ ≤ 70°, in order of rising 2θ)
index	two_theta	I (rel.)
2 1 1	26.60	43
3 0 1	34.56	46
3 1 1	36.30	64
2 2 2	37.98	35
3 2 0	39.59	41
3 1 2	41.15	100

```
data_Ta3Nb3Sn
_cell_length_a 8.2071
_cell_length_b 8.2071
_cell_length_c 8.2071
_cell_angle_alpha 90.00
_cell_angle_beta 90.00
_cell_angle_gamma 90.00
_symmetry_space_group_name_H-M 'P 21 3'
_symmetry_Int_Tables_number 198
_symmetry_space_group_name_Hall 'P 2ac 2ab 3'
loop_
_atom_site_label
_atom_site_type_symbol
_atom_site_fract_x
_atom_site_fract_y
_atom_site_fract_z
Ta1 Ta 0.0352 0.4648 0.5352
Ta2 Ta 0.1450 0.8550 0.3550
Ta3 Ta 0.1578 0.1578 0.1578
Nb1 Nb 0.0705 0.3225 0.8722
Sn1 Sn 0.1528 0.6528 0.8472
```

---

Entry 2:
Diffraction record for TaNb4Sn. The X-ray powder pattern is simulated, not measured: it uses a cell relaxed with GGA-PBE and copper Kα.
Intensities are scaled so that the largest is 100.

Peak list (6 most intense, 5° ≤ 2θ ≤ 70°, in order of rising 2θ)
index	two_theta	I (rel.)
1 1 -2	37.37	100
2 0 2	37.84	49
3 1 0	37.96	96
4 0 -2	39.29	42
0 2 0	52.93	18
2 2 2	66.89	18

```
data_TaNb4Sn
_cell_length_a 10.2123
_cell_length_b 3.4599
_cell_length_c 6.7036
_cell_angle_alpha 90.00
_cell_angle_beta 107.08
_cell_angle_gamma 90.00
_symmetry_space_group_name_H-M 'C 1 2/m 1'
_symmetry_Int_Tables_number 12
loop_
_symmetry_equiv_pos_as_xyz
'x,y,z'
'-x,-y,-z'
'-x,y,-z'
'x,-y,z'
'x+1/2,y+1/2,z'
'-x+1/2,-y+1/2,-z'
'-x+1/2,y+1/2,-z'
'x+1/2,-y+1/2,z'
loop_
_atom_site_label
_atom_site_type_symbol
_atom_site_fract_x
_atom_site_fract_y
_atom_site_fract_z
Ta1 Ta 0.0000 0.0000 0.0000
Nb1 Nb 0.1643 0.5000 0.8374
Nb2 Nb 0.1768 0.5000 0.3219
Sn1 Sn 0.0000 0.0000 0.5000
```

---

Entry 3:
Diffraction record for Ta6Nb12Sn. The X-ray powder pattern is simulated, not measured: it uses a cell relaxed with GGA-PBE and copper Kα.
Intensities are scaled so that the largest is 100.

Peak list (6 most intense, 5° ≤ 2θ ≤ 70°, in order of rising 2θ)
index	two_theta	I (rel.)
1 1 0	17.55	10
2 -1 3	27.94	16
4 -3 1	37.77	100
3 1 2	39.90	65
2 0 5	41.95	19
1 4 6	66.74	18

```
data_Ta6Nb12Sn
_cell_length_a 10.1127
_cell_length_b 10.1127
_cell_length_c 12.3503
_cell_angle_alpha 90.00
_cell_angle_beta 90.00
_cell_angle_gamma 120.00
_symmetry_space_group_name_H-M 'R -3'
_symmetry_Int_Tables_number 148
_symmetry_space_group_name_Hall '-R 3'
loop_
_atom_site_label
_atom_site_type_symbol
_atom_site_fract_x
_atom_site_fract_y
_atom_site_fract_z
Ta1 Ta 0.0283 0.5925 0.2111
Nb1 Nb 0.0514 0.8660 0.3012
Nb2 Nb 0.0613 0.2259 0.9145
Sn1 Sn 0.0000 0.0000 0.5000
```

---

Entry 4:
Diffraction record for NbTcSn. The X-ray powder pattern is simulated, not measured: it uses a cell relaxed with GGA-PBE and copper Kα.
Intensities are scaled so that the largest is 100.

Peak list (6 most intense, 5° ≤ 2θ ≤ 70°, in order of rising 2θ)
index	two_theta	I (rel.)
3 1 0	37.53	100
1 1 -2	38.99	90
0 2 0	39.65	46
4 0 -2	39.91	42
2 0 2	52.88	16
4 2 -2	57.52	29

```
data_NbTcSn
_cell_length_a 9.8578
_cell_length_b 4.5462
_cell_length_c 5.5553
_cell_angle_alpha 90.00
_cell_angle_beta 120.87
_cell_angle_gamma 90.00
_symmetry_space_group_name_H-M 'C 1 2/m 1'
_symmetry_Int_Tables_number 12
loop_
_symmetry_equiv_pos_as_xyz
'x,y,z'
'-x,-y,-z'
'-x,y,-z'
'x,-y,z'
'x+1/2,y+1/2,z'
'-x+1/2,-y+1/2,-z'
'-x+1/2,y+1/2,-z'
'x+1/2,-y+1/2,z'
loop_
_atom_site_label
_atom_site_type_symbol
_atom_site_fract_x
_atom_site_fract_y
_atom_site_fract_z
Nb1 Nb 0.0197 0.0000 0.2742
Tc1 Tc 0.1564 0.5000 0.5951
Sn1 Sn 0.1767 0.5000 0.1158
```

---

Entry 5:
Diffraction record for TiNb12Sn3. The X-ray powder pattern is simulated, not measured: it uses a cell relaxed with GGA-PBE and copper Kα.
Intensities are scaled so that the largest is 100.

Peak list (6 most intense, 5° ≤ 2θ ≤ 70°, in order of rising 2θ)
index	two_theta	I (rel.)
2 0 0	33.82	37
1 2 0	37.79	50
2 0 2	37.94	100
1 2 2	41.59	42
1 1 4	41.70	82
3 1 4	65.87	42

```
data_TiNb12Sn3
_cell_length_a 5.3015
_cell_length_b 5.3283
_cell_length_c 10.6004
_cell_angle_alpha 90.00
_cell_angle_beta 90.00
_cell_angle_gamma 90.00
_symmetry_space_group_name_H-M 'P m m m'
_symmetry_Int_Tables_number 47
loop_
_symmetry_equiv_pos_as_xyz
'x,y,z'
'-x,-y,-z'
'-x,-y,z'
'x,y,-z'
'x,-y,-z'
'-x,y,z'
'-x,y,-z'
'x,-y,z'
loop_
_atom_site_label
_atom_site_type_symbol
_atom_site_fract_x
_atom_site_fract_y
_atom_site_fract_z
Ti1 Ti 0.0000 0.0000 0.0000
Nb1 Nb 0.0000 0.2446 0.2448
Nb2 Nb 0.2422 0.5000 0.0000
Nb3 Nb 0.2498 0.5000 0.5000
Nb4 Nb 0.5000 0.0000 0.1214
Nb5 Nb 0.5000 0.0000 0.3735
Sn1 Sn 0.0000 0.0000 0.5000
Sn2 Sn 0.5000 0.5000 0.2503
```

---

Entry 6:
Diffraction record for TiNb6Sn. The X-ray powder pattern is simulated, not measured: it uses a cell relaxed with GGA-PBE and copper Kα.
Intensities are scaled so that the largest is 100.

Peak list (6 most intense, 5° ≤ 2θ ≤ 70°, in order of rising 2θ)
index	two_theta	I (rel.)
1 0 1	33.55	27
0 2 0	35.90	56
1 0 2	36.47	22
0 1 4	37.16	100
1 1 2	40.82	44
1 1 3	44.92	30

```
data_TiNb6Sn
_cell_length_a 2.7525
_cell_length_b 5.0036
_cell_length_c 11.0551
_cell_angle_alpha 90.00
_cell_angle_beta 90.00
_cell_angle_gamma 90.00
_symmetry_space_group_name_H-M 'P m m m'
_symmetry_Int_Tables_number 47
loop_
_symmetry_equiv_pos_as_xyz
'x,y,z'
'-x,-y,-z'
'-x,-y,z'
'x,y,-z'
'x,-y,-z'
'-x,y,z'
'-x,y,-z'
'x,-y,z'
loop_
_atom_site_label
_atom_site_type_symbol
_atom_site_fract_x
_atom_site_fract_y
_atom_site_fract_z
Ti1 Ti 0.0000 0.0000 0.0000
Nb1 Nb 0.0000 0.5000 0.3662
Nb2 Nb 0.5000 0.0000 0.2529
Nb3 Nb 0.5000 0.5000 0.1230
Sn1 Sn 0.0000 0.0000 0.5000
```